# SrVSi2O7
Simulated X-ray powder pattern, copper Kα. Input: DFT lattice parameters and positions (PBE+U).
Kinematic intensities with the Lorentz-polarization factor, no thermal factor.

Crystal structure
a = 5.383 Å, b = 14.823 Å, c = 7.113 Å
α = 90.00°, β = 90.00°, γ = 90.00°
Space group Cmcm (No. 63)
One atom of each set of equivalent atoms:
Sr: 0.000 0.204 0.250 x4
V: 0.000 0.108 0.750 x4
Si: 0.000 0.392 0.524 x8
O: 0.000 0.003 0.250 x4
O: 0.000 0.363 0.750 x4
O: 0.000 0.500 0.000 x4
O: 0.249 0.153 0.561 x16

Peak list (10 most intense, 10 to 80 degrees two-theta, sorted by position)
- 2θ 11.94, intensity 20.4, (0 2 0)
- 2θ 24.01, intensity 25.8, (0 4 0)
- 2θ 27.13, intensity 26.7, (0 4 1)
- 2θ 27.53, intensity 100.0, (1 3 1)
- 2θ 30.73, intensity 91.2, (1 1 2)
- 2θ 33.29, intensity 34.5, (2 0 0)
- 2θ 38.58, intensity 20.3, (0 6 1)
- 2θ 42.10, intensity 30.8, (2 0 2)
- 2θ 43.46, intensity 27.5, (2 4 1)
- 2θ 45.41, intensity 20.4, (0 4 3)